1.
The following is a calculated powder X-ray diffraction pattern of Er5Tm2Pd4. It was derived from a structure optimized by DFT (GGA-PBE), using CuKα.

Peak list (10 most intense, 10 to 90 degrees two-theta, low angle first)
Position (°2θ)  Rel. int.  (hkl)
26.74  49  1 1 -1
28.92  34  3 1 -1
29.28  44  2 0 -2
32.68  32  4 0 2
33.21  100  5 1 1
34.30  56  8 0 -1
35.60  62  7 1 0
38.15  48  3 1 -2
38.45  47  3 1 2
45.57  48  0 2 0

Atomic structure:
```
data_Er5Tm2Pd4
_chemical_formula_sum 'Er10 Tm4 Pd8'
_cell_length_a 22.8215
_cell_length_b 3.9812
_cell_length_c 6.3035
_cell_angle_alpha 90.00
_cell_angle_beta 90.92
_cell_angle_gamma 90.00
_space_group_name_H-M_alt 'C 1 2/m 1'
_space_group_IT_number 12
loop_
_space_group_symop_operation_xyz
'x,y,z'
'-x,-y,-z'
'-x,y,-z'
'x,-y,z'
'x+1/2,y+1/2,z'
'-x+1/2,-y+1/2,-z'
'-x+1/2,y+1/2,-z'
'x+1/2,-y+1/2,z'
loop_
_atom_site_label
_atom_site_type_symbol
_atom_site_fract_x
_atom_site_fract_y
_atom_site_fract_z
_atom_site_occupancy
Er1 Er 0.0000 0.0000 0.0000 1
Er2 Er 0.1243 0.5000 0.0501 1
Er3 Er 0.2273 0.0000 0.7419 1
Tm1 Tm 0.0802 0.0000 0.5277 1
Pd1 Pd 0.0129 0.5000 0.2932 1
Pd2 Pd 0.1866 0.0000 0.2808 1
```



2.
The following is a calculated powder X-ray diffraction pattern of ErSc4Au5. It was derived from a structure optimized by DFT (GGA-PBE), using CuKα.

Peak list (10 most intense, 10 to 90 degrees two-theta, low angle first)
Position (°2θ)  Rel. int.  (hkl)
25.70  14  0 0 5
26.03  29  1 0 0
36.90  100  1 0 5
37.14  51  1 1 0
45.71  13  1 1 5
52.83  9  0 0 10
53.53  18  2 0 0
66.33  17  1 1 10
66.79  35  2 1 5
78.54  10  2 0 10

Atomic structure:
```
data_ErSc4Au5
_chemical_formula_sum 'Er1 Sc4 Au5'
_cell_length_a 3.4237
_cell_length_b 3.4237
_cell_length_c 17.3318
_cell_angle_alpha 90.00
_cell_angle_beta 90.00
_cell_angle_gamma 90.00
_space_group_name_H-M_alt 'P 4/m m m'
_space_group_IT_number 123
_space_group_name_Hall '-P 4 2'
loop_
_atom_site_label
_atom_site_type_symbol
_atom_site_fract_x
_atom_site_fract_y
_atom_site_fract_z
_atom_site_occupancy
Er1 Er 0.0000 0.0000 0.0000 1
Sc1 Sc 0.0000 0.0000 0.2055 1
Sc2 Sc 0.0000 0.0000 0.4020 1
Au1 Au 0.5000 0.5000 0.1104 1
Au2 Au 0.5000 0.5000 0.3035 1
Au3 Au 0.5000 0.5000 0.5000 1
```



3.
The following is a calculated powder X-ray diffraction pattern of Y3Co. It was derived from a structure optimized by DFT (GGA-PBE), using CuKα.

Peak list (10 most intense, 10 to 90 degrees two-theta, low angle first)
Position (°2θ)  Rel. int.  (hkl)
28.47  33  3 1 1
30.47  73  1 1 2
31.30  31  4 0 0
31.59  80  2 3 1
35.10  95  2 4 0
35.37  54  4 1 1
36.24  43  3 3 1
37.04  26  3 0 2
37.90  100  1 3 2
58.96  28  7 1 1

Atomic structure:
```
data_Y3Co
_chemical_formula_sum 'Y24 Co8'
_cell_length_a 11.4325
_cell_length_b 11.4325
_cell_length_c 6.2969
_cell_angle_alpha 90.00
_cell_angle_beta 90.00
_cell_angle_gamma 90.00
_space_group_name_H-M_alt 'P 42/n'
_space_group_IT_number 86
loop_
_space_group_symop_operation_xyz
'x,y,z'
'-x,-y,-z'
'-y,x+1/2,z+1/2'
'y,-x+1/2,-z+1/2'
'-x+1/2,-y+1/2,z'
'x+1/2,y+1/2,-z'
'y+1/2,-x,z+1/2'
'-y+1/2,x,-z+1/2'
loop_
_atom_site_label
_atom_site_type_symbol
_atom_site_fract_x
_atom_site_fract_y
_atom_site_fract_z
_atom_site_occupancy
Y1 Y 0.0339 0.5927 0.1922 1
Y2 Y 0.1126 0.6675 0.6879 1
Y3 Y 0.1204 0.1882 0.0267 1
Co1 Co 0.0580 0.1794 0.5037 1
```



4.
The following is a calculated powder X-ray diffraction pattern of Ba6NaSr2Pt. It was derived from a structure optimized by DFT (GGA-PBE), using CuKα.

Peak list (10 most intense, 10 to 90 degrees two-theta, low angle first)
Position (°2θ)  Rel. int.  (hkl)
11.50  41  1 1 0
13.28  35  1 0 1
23.11  77  0 2 2
26.75  100  2 0 2
29.98  18  3 0 1
34.98  18  3 1 2
38.18  62  2 4 2
45.12  34  2 2 4
47.30  13  0 4 4
62.28  26  4 4 4

Atomic structure:
```
data_Ba6NaSr2Pt
_chemical_formula_sum 'Ba12 Na2 Sr4 Pt2'
_cell_length_a 9.4405
_cell_length_b 13.3301
_cell_length_c 9.4100
_cell_angle_alpha 90.00
_cell_angle_beta 90.00
_cell_angle_gamma 90.00
_space_group_name_H-M_alt 'I m m 2'
_space_group_IT_number 44
loop_
_space_group_symop_operation_xyz
'x,y,z'
'-x,-y,z'
'-x,y,z'
'x,-y,z'
'x+1/2,y+1/2,z+1/2'
'-x+1/2,-y+1/2,z+1/2'
'-x+1/2,y+1/2,z+1/2'
'x+1/2,-y+1/2,z+1/2'
loop_
_atom_site_label
_atom_site_type_symbol
_atom_site_fract_x
_atom_site_fract_y
_atom_site_fract_z
_atom_site_occupancy
Ba1 Ba 0.0000 0.2337 0.0000 1
Ba2 Ba 0.2330 0.0000 0.2341 1
Ba3 Ba 0.2337 0.0000 0.7658 1
Na1 Na 0.0000 0.5000 0.9995 1
Sr1 Sr 0.0000 0.2504 0.5000 1
Pt1 Pt 0.0000 0.0000 0.9998 1
```



5.
The following is a calculated powder X-ray diffraction pattern of CaTbAlTl. It was derived from a structure optimized by DFT (GGA-PBE), using CuKα.

Peak list (10 most intense, 10 to 90 degrees two-theta, low angle first)
Position (°2θ)  Rel. int.  (hkl)
20.45  53  1 1 1
33.70  100  2 2 0
39.75  30  3 1 1
48.41  18  4 0 0
53.07  14  3 3 1
60.28  37  4 2 2
64.36  10  5 1 1
70.87  12  4 4 0
74.66  10  5 3 1
80.82  16  6 2 0

Atomic structure:
```
data_CaTbAlTl
_chemical_formula_sum 'Ca4 Tb4 Al4 Tl4'
_cell_length_a 7.5214
_cell_length_b 7.5214
_cell_length_c 7.5214
_cell_angle_alpha 90.00
_cell_angle_beta 90.00
_cell_angle_gamma 90.00
_space_group_name_H-M_alt 'F -4 3 m'
_space_group_IT_number 216
_space_group_name_Hall 'F -4 2 3'
loop_
_atom_site_label
_atom_site_type_symbol
_atom_site_fract_x
_atom_site_fract_y
_atom_site_fract_z
_atom_site_occupancy
Ca1 Ca 0.0000 0.0000 0.0000 1
Tb1 Tb 0.0000 0.0000 0.5000 1
Al1 Al 0.2500 0.2500 0.2500 1
Tl1 Tl 0.2500 0.2500 0.7500 1
```



6.
The following is a calculated powder X-ray diffraction pattern of CdOsBr2. It was derived from a structure optimized by DFT (GGA-PBE), using CuKα.

Peak list (10 most intense, 10 to 90 degrees two-theta, low angle first)
Position (°2θ)  Rel. int.  (hkl)
12.90  100  0 0 1
18.11  23  2 0 -1
18.54  17  2 0 0
33.32  28  1 1 1
34.69  28  4 0 -1
36.73  39  1 1 -2
39.38  15  0 0 3
41.18  17  3 1 -2
41.74  14  1 1 2
45.23  19  3 1 1

Atomic structure:
```
data_CdOsBr2
_chemical_formula_sum 'Cd2 Os2 Br4'
_cell_length_a 10.3514
_cell_length_b 3.2527
_cell_length_c 7.4239
_cell_angle_alpha 90.00
_cell_angle_beta 112.40
_cell_angle_gamma 90.00
_space_group_name_H-M_alt 'C 1 m 1'
_space_group_IT_number 8
loop_
_space_group_symop_operation_xyz
'x,y,z'
'x,-y,z'
'x+1/2,y+1/2,z'
'x+1/2,-y+1/2,z'
loop_
_atom_site_label
_atom_site_type_symbol
_atom_site_fract_x
_atom_site_fract_y
_atom_site_fract_z
_atom_site_occupancy
Cd1 Cd 0.0000 0.0000 0.0000 1
Os1 Os 0.2674 0.0000 0.9998 1
Br1 Br 0.1768 0.5000 0.7160 1
Br2 Br 0.3316 0.5000 0.2837 1
```



7.
The following is a calculated powder X-ray diffraction pattern of Li6Cd2Pd. It was derived from a structure optimized by DFT (GGA-PBE), using CuKα.

Peak list (10 most intense, 10 to 90 degrees two-theta, low angle first)
Position (°2θ)  Rel. int.  (hkl)
22.55  100  3 1 0
32.03  12  0 0 1
39.09  19  3 1 -1
39.53  38  3 3 0
39.67  10  6 0 0
39.99  18  3 1 1
46.09  10  6 2 0
51.41  6  3 3 -1
56.55  6  6 2 -1
62.24  8  6 4 0

Atomic structure:
```
data_Li6Cd2Pd
_chemical_formula_sum 'Li12 Cd4 Pd2'
_cell_length_a 13.6366
_cell_length_b 7.9009
_cell_length_c 2.7951
_cell_angle_alpha 90.00
_cell_angle_beta 91.52
_cell_angle_gamma 90.00
_space_group_name_H-M_alt 'C 1 2/m 1'
_space_group_IT_number 12
loop_
_space_group_symop_operation_xyz
'x,y,z'
'-x,-y,-z'
'-x,y,-z'
'x,-y,z'
'x+1/2,y+1/2,z'
'-x+1/2,-y+1/2,-z'
'-x+1/2,y+1/2,-z'
'x+1/2,-y+1/2,z'
loop_
_atom_site_label
_atom_site_type_symbol
_atom_site_fract_x
_atom_site_fract_y
_atom_site_fract_z
_atom_site_occupancy
Li1 Li 0.0000 0.1786 0.0000 1
Li2 Li 0.1603 0.3396 0.0025 1
Cd1 Cd 0.1662 0.0000 0.5005 1
Pd1 Pd 0.0000 0.5000 0.5000 1
```



8.
The following is a calculated powder X-ray diffraction pattern of Ac2SiPt2. It was derived from a structure optimized by DFT (GGA-PBE), using CuKα.

Peak list (10 most intense, 10 to 90 degrees two-theta, low angle first)
Position (°2θ)  Rel. int.  (hkl)
26.04  38  1 1 -2
30.50  100  1 1 2
30.67  39  4 0 -2
31.05  39  3 1 -1
32.82  46  3 1 0
34.79  42  0 0 4
39.45  54  3 1 -4
42.19  43  0 2 0
55.78  23  0 2 4
59.28  23  7 1 -3

Atomic structure:
```
data_Ac2SiPt2
_chemical_formula_sum 'Ac8 Si4 Pt8'
_cell_length_a 11.7153
_cell_length_b 4.2857
_cell_length_c 11.3944
_cell_angle_alpha 90.00
_cell_angle_beta 115.13
_cell_angle_gamma 90.00
_space_group_name_H-M_alt 'C 1 2/m 1'
_space_group_IT_number 12
loop_
_space_group_symop_operation_xyz
'x,y,z'
'-x,-y,-z'
'-x,y,-z'
'x,-y,z'
'x+1/2,y+1/2,z'
'-x+1/2,-y+1/2,-z'
'-x+1/2,y+1/2,-z'
'x+1/2,-y+1/2,z'
loop_
_atom_site_label
_atom_site_type_symbol
_atom_site_fract_x
_atom_site_fract_y
_atom_site_fract_z
_atom_site_occupancy
Ac1 Ac 0.0940 0.0000 0.4027 1
Ac2 Ac 0.1957 0.5000 0.1409 1
Si1 Si 0.0744 0.5000 0.8208 1
Pt1 Pt 0.0410 0.0000 0.9008 1
Pt2 Pt 0.1337 0.5000 0.6307 1
```